Calculated XRD peak list of AcLaMo2O8 for Cu Kα X-rays, from a PBE+U-relaxed structure.
Peak positions follow from Bragg's law for the DFT cell and can differ from measured ones.

Peak list (6 most intense, 10 to 90 degrees two-theta, sorted by position)
| Position (°2θ) | d_spacing | I (rel.) |
| --- | --- | --- |
| 27.38 | 3.258 | 100 |
| 29.96 | 2.982 | 15 |
| 32.56 | 2.750 | 21 |
| 44.83 | 2.022 | 30 |
| 51.63 | 1.770 | 17 |
| 54.99 | 1.670 | 28 |

Crystal structure
a b c (Å): 7.1202 7.1202 7.1202
angles (deg): 134.56 134.56 66.22
Fractional coordinates of all 12 atoms:
Ac  0.0000  0.0000  0.0000
La  0.2500  0.7500  0.5000
Mo  0.5000  0.5000  0.0000
Mo  0.7500  0.2500  0.5000
O  0.0069  0.0787  0.4151
O  0.2641  0.6474  0.0767
O  0.3526  0.4293  0.6167
O  0.4081  0.9931  0.0718
O  0.5707  0.1874  0.9233
O  0.6636  0.5919  0.5849
O  0.8126  0.7359  0.3833
O  0.9213  0.3364  0.9282